Theoretical X-ray diffraction stick pattern of Cs4K2InSn2 for Cu Ka, from a DFT-relaxed cell (PBE, Alexandria).
No peak broadening, texture or thermal motion is included.

Largest 10 diffraction maxima, by angle, 10° ≤ 2θ ≤ 90°:
d [Å]  Rel. int.
7.600  32.6
5.551  16.3
3.929  27.2
3.609  15.7
3.582  100.0
3.400  25.8
3.172  25.4
3.103  39.6
2.171  15.6
1.964  13.7

Atomic structure:
Lattice parameters (Å, degrees): 9.436 9.436 7.249 107.92 107.92 54.78
Atoms (fractional coordinates):
Cs1 0.102 0.634 0.782
Cs2 0.366 0.898 0.218
Cs3 0.634 0.102 0.782
Cs4 0.898 0.366 0.218
K1 0.362 0.362 0.247
K2 0.638 0.638 0.753
In1 0.000 0.000 0.500
Sn1 0.168 0.168 0.750
Sn2 0.832 0.832 0.250